[1]
Structure and simulated XRD peak list of VAg2AuS4 (the GGA-PBE geometry in Alexandria; Cu Kα, 1.54184 Å).
Kinematic intensities with the Lorentz-polarization factor, no thermal factor.

Structural model:
```
data_VAg2AuS4
_space_group_name_H-M_alt 'F m m 2'
_space_group_IT_number 42
_space_group_name_Hall 'F 2 -2'
_cell_length_a 7.9696
_cell_length_b 7.9856
_cell_length_c 11.2579
_cell_angle_alpha 90.00
_cell_angle_beta 90.00
_cell_angle_gamma 90.00
loop_
_atom_site_label
_atom_site_type_symbol
_atom_site_fract_x
_atom_site_fract_y
_atom_site_fract_z
V1 V 0.0000 0.0000 0.0000
Ag1 Ag 0.2500 0.2500 0.2508
Au1 Au 0.0000 0.0000 0.5037
S1 S 0.0000 0.2248 0.1116
S2 S 0.2260 0.0000 0.8894
```

The 6 most intense peaks (10 to 90 degrees two-theta), by intensity:
Position (°2θ)  d (Å)  I (rel.)
27.40  3.254  100
45.51  1.993  53
53.92  1.701  29
31.75  2.818  25
17.59  5.043  18
73.21  1.293  14



[2]
Structure and simulated XRD peak list of La8PmHo5 (the GGA-PBE geometry in Alexandria; Cu Kα, 1.54184 Å).
Kinematic intensities with the Lorentz-polarization factor, no thermal factor.

Structural model:
```
data_La8PmHo5
_space_group_name_H-M_alt 'C 1 2 1'
_space_group_IT_number 5
_space_group_name_Hall 'C 2y'
_cell_length_a 13.1067
_cell_length_b 11.3108
_cell_length_c 9.2429
_cell_angle_alpha 90.00
_cell_angle_beta 133.62
_cell_angle_gamma 90.00
loop_
_atom_site_label
_atom_site_type_symbol
_atom_site_fract_x
_atom_site_fract_y
_atom_site_fract_z
La1 La 0.0632 0.0000 0.2822
La2 La 0.0673 0.5623 0.2884
La3 La 0.1541 0.2833 0.0486
La4 La 0.1921 0.0920 0.7677
Pm1 Pm 0.0000 0.7854 0.0000
Ho1 Ho 0.0000 0.7719 0.5000
Ho2 Ho 0.1756 0.2818 0.4576
Ho3 Ho 0.1882 0.4752 0.7521
```

The 6 most intense peaks (10 to 90 degrees two-theta), by intensity:
Position (°2θ)  d (Å)  I (rel.)
31.06  2.879  100
32.18  2.781  66
29.32  3.046  50
30.71  2.912  39
34.07  2.632  38
31.64  2.828  32



[3]
Structure and simulated XRD peak list of SnGe3Br8 (the GGA-PBE geometry in Alexandria; Cu Kα, 1.54184 Å).
Kinematic intensities with the Lorentz-polarization factor, no thermal factor.

Structural model:
```
data_SnGe3Br8
_space_group_name_H-M_alt 'C 1 2/m 1'
_space_group_IT_number 12
_space_group_name_Hall '-C 2y'
_cell_length_a 14.3627
_cell_length_b 8.2953
_cell_length_c 8.6513
_cell_angle_alpha 90.00
_cell_angle_beta 124.56
_cell_angle_gamma 90.00
loop_
_atom_site_label
_atom_site_type_symbol
_atom_site_fract_x
_atom_site_fract_y
_atom_site_fract_z
Sn1 Sn 0.0000 0.0000 0.0000
Ge1 Ge 0.0000 0.5000 0.0000
Ge2 Ge 0.2500 0.2500 0.0000
Br1 Br 0.0090 0.2624 0.7705
Br2 Br 0.2425 0.5000 0.2217
Br3 Br 0.2467 0.5000 0.7705
```

The 6 most intense peaks (10 to 90 degrees two-theta), by intensity:
Position (°2θ)  d (Å)  I (rel.)
29.86  2.992  100
12.42  7.125  79
43.66  2.073  52
30.22  2.957  49
42.33  2.135  36
54.01  1.698  18



[4]
Structure and simulated XRD peak list of In4Bi3Pb5 (the GGA-PBE geometry in Alexandria; Cu Kα, 1.54184 Å).
Kinematic intensities with the Lorentz-polarization factor, no thermal factor.

Structural model:
```
data_In4Bi3Pb5
_space_group_name_H-M_alt 'P -1'
_space_group_IT_number 2
_space_group_name_Hall '-P 1'
_cell_length_a 6.4962
_cell_length_b 7.9390
_cell_length_c 8.3629
_cell_angle_alpha 108.34
_cell_angle_beta 91.32
_cell_angle_gamma 107.04
loop_
_atom_site_label
_atom_site_type_symbol
_atom_site_fract_x
_atom_site_fract_y
_atom_site_fract_z
In1 In 0.0046 0.3394 0.3164
In2 In 0.1023 0.1711 0.8980
Bi1 Bi 0.0000 0.0000 0.5000
Bi2 Bi 0.4007 0.1108 0.1611
Pb1 Pb 0.2823 0.6311 0.0531
Pb2 Pb 0.3994 0.4199 0.6515
Pb3 Pb 0.5000 0.0000 0.5000
```

The 6 most intense peaks (10 to 90 degrees two-theta), by intensity:
Position (°2θ)  d (Å)  I (rel.)
29.74  3.004  100
32.14  2.785  89
31.03  2.882  47
36.23  2.479  28
35.82  2.507  27
30.75  2.908  22



[5]
Structure and simulated XRD peak list of Cu3Hg (the GGA-PBE geometry in Alexandria; Cu Kα, 1.54184 Å).
Kinematic intensities with the Lorentz-polarization factor, no thermal factor.

Structural model:
```
data_Cu3Hg
_space_group_name_H-M_alt 'P -6 m 2'
_space_group_IT_number 187
_space_group_name_Hall 'P -6 2'
_cell_length_a 2.8583
_cell_length_b 2.8583
_cell_length_c 8.5073
_cell_angle_alpha 90.00
_cell_angle_beta 90.00
_cell_angle_gamma 120.00
loop_
_atom_site_label
_atom_site_type_symbol
_atom_site_fract_x
_atom_site_fract_y
_atom_site_fract_z
Cu1 Cu 0.0000 0.0000 0.0000
Cu2 Cu 0.6667 0.3333 0.2237
Hg1 Hg 0.0000 0.0000 0.5000
```

The 6 most intense peaks (10 to 90 degrees two-theta), by intensity:
Position (°2θ)  d (Å)  I (rel.)
42.24  2.139  100
10.40  8.507  40
36.29  2.475  33
37.85  2.377  23
42.50  2.127  19
57.10  1.613  18



[6]
Structure and simulated XRD peak list of K2ZrTlCl8 (the GGA-PBE geometry in Alexandria; Cu Kα, 1.54184 Å).
Kinematic intensities with the Lorentz-polarization factor, no thermal factor.

Structural model:
```
data_K2ZrTlCl8
_space_group_name_H-M_alt 'P 1 2/m 1'
_space_group_IT_number 10
_space_group_name_Hall '-P 2y'
_cell_length_a 6.6783
_cell_length_b 8.8681
_cell_length_c 6.9032
_cell_angle_alpha 90.00
_cell_angle_beta 93.32
_cell_angle_gamma 90.00
loop_
_atom_site_label
_atom_site_type_symbol
_atom_site_fract_x
_atom_site_fract_y
_atom_site_fract_z
K1 K 0.0000 0.2400 0.0000
Zr1 Zr 0.5000 0.0000 0.5000
Tl1 Tl 0.5000 0.5000 0.5000
Cl1 Cl 0.2444 0.5000 0.1877
Cl2 Cl 0.2873 0.2044 0.6326
Cl3 Cl 0.2880 0.0000 0.1928
```

The 6 most intense peaks (10 to 90 degrees two-theta), by intensity:
Position (°2θ)  d (Å)  I (rel.)
17.97  4.937  100
12.85  6.892  74
24.10  3.692  71
13.28  6.667  71
27.03  3.299  69
19.05  4.659  64



[7]
Structure and simulated XRD peak list of Tb12Ru6Pb (the GGA-PBE geometry in Alexandria; Cu Kα, 1.54184 Å).
Kinematic intensities with the Lorentz-polarization factor, no thermal factor.

Structural model:
```
data_Tb12Ru6Pb
_space_group_name_H-M_alt 'I m -3'
_space_group_IT_number 204
_space_group_name_Hall '-I 2 2 3'
_cell_length_a 9.9011
_cell_length_b 9.9011
_cell_length_c 9.9011
_cell_angle_alpha 90.00
_cell_angle_beta 90.00
_cell_angle_gamma 90.00
loop_
_atom_site_label
_atom_site_type_symbol
_atom_site_fract_x
_atom_site_fract_y
_atom_site_fract_z
Tb1 Tb 0.0000 0.1950 0.2974
Ru1 Ru 0.0000 0.3766 0.5000
Pb1 Pb 0.0000 0.0000 0.0000
```

The 6 most intense peaks (10 to 90 degrees two-theta), by intensity:
Position (°2θ)  d (Å)  I (rel.)
33.88  2.646  100
31.30  2.858  46
57.37  1.606  33
46.78  1.942  26
54.00  1.698  24
36.29  2.475  23